Record 1
BaSrMgFe4O8: theoretical powder X-ray diffraction pattern (Cu Kα, 1.54184 Å), based on a crystal structure in the Materials Project, relaxed with PBE+U.
Lines closer than 0.1° are merged.

Main lines, by angle (10 to 90 degrees two-theta):
d 3.184, 2θ 28.0, I = 100, (1 0 2)
d 2.748, 2θ 32.6, I = 77, (1 1 0)
d 2.617, 2θ 34.3, I = 11, (2 -1 1)
d 2.080, 2θ 43.5, I = 26, (2 0 2)
d 1.690, 2θ 54.3, I = 36, (2 -1 4)
d 1.659, 2θ 55.4, I = 28, (3 -1 2)
d 1.586, 2θ 58.1, I = 21, (3 0 0)
d 1.261, 2θ 75.3, I = 12, (3 1 2)

Crystal structure
```
data_BaSrMgFe4O8
_cell_length_a 5.4956
_cell_length_b 5.4956
_cell_length_c 8.5700
_cell_angle_alpha 90.00
_cell_angle_beta 90.00
_cell_angle_gamma 120.00
_symmetry_space_group_name_H-M 'P 3 1 2'
_symmetry_Int_Tables_number 149
_symmetry_space_group_name_Hall 'P 3 2'
loop_
_atom_site_label
_atom_site_fract_x
_atom_site_fract_y
_atom_site_fract_z
Ba1 0.0000 0.0000 0.0000
Sr1 0.0000 0.0000 0.5000
Mg1 0.6667 0.3333 0.5000
Fe1 0.3333 0.6667 0.2403
Fe2 0.6667 0.3333 0.2113
O1 0.3333 0.6667 0.0000
O2 0.3750 0.0092 0.3318
O3 0.6667 0.3333 0.0000
```

Record 2
BaSrMgFe4O8: theoretical powder X-ray diffraction pattern (Cu Kα, 1.54184 Å), based on a crystal structure in the Materials Project, relaxed with PBE+U.
Lines closer than 0.1° are merged.

Main lines, by angle (10 to 90 degrees two-theta):
d 3.330, 2θ 26.8, I = 39, (1 1 -2)
d 3.181, 2θ 28.1, I = 63, (0 2 2)
d 3.044, 2θ 29.3, I = 48, (1 1 2)
d 2.858, 2θ 31.3, I = 100, (1 3 0)
d 2.789, 2θ 32.1, I = 16, (2 0 -1)
d 2.043, 2θ 44.3, I = 16, (2 2 2)
d 1.648, 2θ 55.8, I = 21, (3 3 0)
d 1.639, 2θ 56.1, I = 23, (1 3 4)

Crystal structure
```
data_BaSrMgFe4O8
_cell_length_a 5.737
_cell_length_b 9.919
_cell_length_c 8.338
_cell_angle_alpha 90.00
_cell_angle_beta 96.03
_cell_angle_gamma 90.00
_symmetry_space_group_name_H-M 'C 1 m 1'
_symmetry_Int_Tables_number 8
_symmetry_space_group_name_Hall 'C -2y'
loop_
_atom_site_label
_atom_site_fract_x
_atom_site_fract_y
_atom_site_fract_z
Ba1 0.000 0.000 0.000
Sr1 0.452 0.500 0.492
Mg1 0.394 0.000 0.364
Fe1 0.007 0.334 0.723
Fe2 0.057 0.310 0.173
O1 0.001 0.345 0.942
O2 0.180 0.500 0.260
O3 0.215 0.149 0.262
O4 0.324 0.324 0.665
O5 0.392 0.000 0.604
```

Record 3
BaSrMgFe4O8: theoretical powder X-ray diffraction pattern (Cu Kα, 1.54184 Å), based on a crystal structure in the Materials Project, relaxed with PBE+U.
Lines closer than 0.1° are merged.

Main lines, by angle (10 to 90 degrees two-theta):
d 5.015, 2θ 17.7, I = 27, (0 2 0)
d 3.219, 2θ 27.7, I = 53, (1 1 -2)
d 3.134, 2θ 28.5, I = 91, (0 2 2)
d 3.063, 2θ 29.2, I = 78, (1 1 2)
d 2.893, 2θ 30.9, I = 100, (1 3 0)
d 2.784, 2θ 32.2, I = 28, (2 0 -1)
d 1.828, 2θ 49.9, I = 26, (3 1 1)
d 1.674, 2θ 54.9, I = 25, (1 3 -4)

Crystal structure
```
data_BaSrMgFe4O8
_cell_length_a 5.817
_cell_length_b 10.008
_cell_length_c 8.052
_cell_angle_alpha 90.00
_cell_angle_beta 93.36
_cell_angle_gamma 90.00
_symmetry_space_group_name_H-M 'C 1 m 1'
_symmetry_Int_Tables_number 8
_symmetry_space_group_name_Hall 'C -2y'
loop_
_atom_site_label
_atom_site_fract_x
_atom_site_fract_y
_atom_site_fract_z
Ba1 0.000 0.000 0.000
Sr1 0.117 0.000 0.468
Mg1 0.475 0.000 0.822
Fe1 0.086 0.334 0.199
Fe2 0.191 0.307 0.701
O1 0.108 0.349 0.968
O2 0.292 0.500 0.691
O3 0.338 0.142 0.670
O4 0.417 0.324 0.264
O5 0.442 0.000 0.259
```

Record 4
Ba2Mg2Tl2Fe3O10: theoretical powder X-ray diffraction pattern (Cu Kα, 1.54184 Å), based on a crystal structure in the Materials Project, relaxed with PBE+U.
Lines closer than 0.1° are merged.

Main lines, by angle (10 to 90 degrees two-theta):
d 3.460, 2θ 25.8, I = 34, (0 1 -3)
d 3.137, 2θ 28.5, I = 91, (0 1 3)
d 3.122, 2θ 28.6, I = 46, (0 1 -4)
d 3.091, 2θ 28.9, I = 46, (1 0 -4)
d 2.810, 2θ 31.8, I = 100, (1 -1 0)
d 2.773, 2θ 32.3, I = 89, (1 1 -1)
d 2.552, 2θ 35.2, I = 50, (0 0 7)
d 1.964, 2θ 46.2, I = 28, (2 0 -1)

Crystal structure
```
data_Ba2Mg2Tl2Fe3O10
_cell_length_a 3.928
_cell_length_b 3.966
_cell_length_c 18.037
_cell_angle_alpha 95.90
_cell_angle_beta 95.36
_cell_angle_gamma 90.71
_symmetry_space_group_name_H-M 'P 1'
_symmetry_Int_Tables_number 1
_symmetry_space_group_name_Hall 'P 1'
loop_
_atom_site_label
_atom_site_fract_x
_atom_site_fract_y
_atom_site_fract_z
Ba1 0.000 0.000 0.000
Ba2 0.330 0.299 0.564
Mg1 0.107 0.111 0.193
Mg2 0.238 0.214 0.372
Tl1 0.432 0.493 0.846
Tl2 0.881 0.934 0.718
Fe1 0.561 0.546 0.121
Fe2 0.586 0.754 0.281
Fe3 0.787 0.731 0.441
O1 0.063 0.533 0.127
O2 0.075 0.826 0.285
O3 0.289 0.720 0.442
O4 0.388 0.272 0.728
O5 0.483 0.479 0.965
O6 0.522 0.268 0.277
O7 0.555 0.040 0.118
O8 0.793 0.227 0.437
O9 0.839 0.808 0.598
O10 0.930 0.820 0.835
```

Record 5
Ba2MgVFeO6: theoretical powder X-ray diffraction pattern (Cu Kα, 1.54184 Å), based on a crystal structure in the Materials Project, relaxed with PBE+U.
Lines closer than 0.1° are merged.

Main lines, by angle (10 to 90 degrees two-theta):
d 3.213, 2θ 27.8, I = 57, (1 1 1)
d 3.186, 2θ 28.0, I = 58, (3 1 -1)
d 3.002, 2θ 29.8, I = 44, (2 0 1)
d 2.983, 2θ 30.0, I = 47, (3 1 0)
d 2.969, 2θ 30.1, I = 45, (4 0 -1)
d 2.853, 2θ 31.4, I = 100, (0 2 0)
d 2.055, 2θ 44.1, I = 44, (4 2 -1)
d 2.018, 2θ 44.9, I = 65, (2 2 -2)

Crystal structure
```
data_Ba2MgVFeO6
_cell_length_a 11.897
_cell_length_b 5.698
_cell_length_c 5.716
_cell_angle_alpha 90.00
_cell_angle_beta 118.01
_cell_angle_gamma 90.00
_symmetry_space_group_name_H-M 'C 1 2/m 1'
_symmetry_Int_Tables_number 12
_symmetry_space_group_name_Hall '-C 2y'
loop_
_atom_site_label
_atom_site_fract_x
_atom_site_fract_y
_atom_site_fract_z
Ba1 0.182 0.000 0.181
Mg1 0.000 0.500 0.500
V1 0.000 0.500 0.000
Fe1 0.000 0.000 0.500
O1 0.003 0.250 0.746
O2 0.179 0.500 0.181
```

Record 6
Ba2Y2MgFe4O10: theoretical powder X-ray diffraction pattern (Cu Kα, 1.54184 Å), based on a crystal structure in the Materials Project, relaxed with PBE+U.
Lines closer than 0.1° are merged.

Main lines, by angle (10 to 90 degrees two-theta):
d 3.362, 2θ 26.5, I = 22, (0 0 3)
d 3.057, 2θ 29.2, I = 72, (2 0 2)
d 3.031, 2θ 29.5, I = 100, (0 1 2)
d 2.700, 2θ 33.2, I = 80, (2 1 0)
d 2.523, 2θ 35.6, I = 35, (0 0 4)
d 1.922, 2θ 47.3, I = 22, (4 0 0)
d 1.896, 2θ 48.0, I = 30, (0 2 0)
d 1.537, 2θ 60.2, I = 24, (0 1 6)

Crystal structure
```
data_Ba2Y2MgFe4O10
_cell_length_a 7.688
_cell_length_b 3.793
_cell_length_c 10.087
_cell_angle_alpha 90.00
_cell_angle_beta 90.18
_cell_angle_gamma 90.00
_symmetry_space_group_name_H-M 'P 1 m 1'
_symmetry_Int_Tables_number 6
_symmetry_space_group_name_Hall 'P -2y'
loop_
_atom_site_label
_atom_site_fract_x
_atom_site_fract_y
_atom_site_fract_z
Ba1 0.000 0.000 0.000
Ba2 0.483 0.000 0.004
Y1 0.492 0.000 0.351
Y2 0.963 0.000 0.519
Mg1 0.495 0.000 0.653
Fe1 0.186 0.500 0.260
Fe2 0.223 0.500 0.722
Fe3 0.752 0.500 0.770
Fe4 0.785 0.500 0.245
O1 0.216 0.000 0.220
O2 0.221 0.500 0.918
O3 0.253 0.000 0.590
O4 0.472 0.500 0.248
O5 0.507 0.500 0.729
O6 0.671 0.000 0.517
O7 0.736 0.000 0.214
O8 0.750 0.500 0.958
O9 0.957 0.500 0.662
O10 0.979 0.500 0.378
```

Record 7
Ba2Y2MgFe4O10: theoretical powder X-ray diffraction pattern (Cu Kα, 1.54184 Å), based on a crystal structure in the Materials Project, relaxed with PBE+U.
Lines closer than 0.1° are merged.

Main lines, by angle (10 to 90 degrees two-theta):
d 4.107, 2θ 21.6, I = 37, (0 0 2)
d 2.986, 2θ 29.9, I = 81, (0 2 2)
d 2.892, 2θ 30.9, I = 95, (1 2 0)
d 2.816, 2θ 31.8, I = 100, (1 0 2)
d 2.366, 2θ 38.0, I = 59, (0 3 2)
d 2.319, 2θ 38.8, I = 27, (1 3 0)
d 2.175, 2θ 41.5, I = 30, (0 4 0)
d 1.934, 2θ 47.0, I = 35, (2 0 0)

Crystal structure
```
data_Ba2Y2MgFe4O10
_cell_length_a 3.869
_cell_length_b 8.699
_cell_length_c 8.215
_cell_angle_alpha 90.00
_cell_angle_beta 90.00
_cell_angle_gamma 90.00
_symmetry_space_group_name_H-M 'P m m 2'
_symmetry_Int_Tables_number 25
_symmetry_space_group_name_Hall 'P 2 -2'
loop_
_atom_site_label
_atom_site_fract_x
_atom_site_fract_y
_atom_site_fract_z
Ba1 0.000 0.203 0.000
Y1 0.000 0.222 0.538
Mg1 0.000 0.500 0.172
Fe1 0.500 0.000 0.326
Fe2 0.500 0.000 0.755
Fe3 0.500 0.500 0.418
Fe4 0.500 0.500 0.818
O1 0.000 0.000 0.378
O2 0.000 0.000 0.719
O3 0.000 0.500 0.456
O4 0.000 0.500 0.912
O5 0.500 0.000 0.036
O6 0.500 0.239 0.396
O7 0.500 0.259 0.749
O8 0.500 0.500 0.165
```

Record 8
Ba2Y2MgFe4O10: theoretical powder X-ray diffraction pattern (Cu Kα, 1.54184 Å), based on a crystal structure in the Materials Project, relaxed with PBE+U.
Lines closer than 0.1° are merged.

Main lines, by angle (10 to 90 degrees two-theta):
d 4.057, 2θ 21.9, I = 38, (0 1 2)
d 3.031, 2θ 29.5, I = 31, (-1 1 2)
d 3.012, 2θ 29.7, I = 100, (0 2 -2)
d 2.751, 2θ 32.6, I = 41, (1 0 2)
d 2.732, 2θ 32.8, I = 61, (1 -2 0)
d 2.721, 2θ 32.9, I = 46, (1 2 -1)
d 2.695, 2θ 33.2, I = 29, (1 0 -3)
d 1.948, 2θ 46.6, I = 68, (2 0 -1)

Crystal structure
```
data_Ba2Y2MgFe4O10
_cell_length_a 3.900
_cell_length_b 7.787
_cell_length_c 9.668
_cell_angle_alpha 90.04
_cell_angle_beta 100.46
_cell_angle_gamma 90.00
_symmetry_space_group_name_H-M 'P 1'
_symmetry_Int_Tables_number 1
_symmetry_space_group_name_Hall 'P 1'
loop_
_atom_site_label
_atom_site_fract_x
_atom_site_fract_y
_atom_site_fract_z
Ba1 0.000 0.000 0.000
Ba2 0.207 0.021 0.512
Y1 0.001 0.519 0.048
Y2 0.812 0.511 0.659
Mg1 0.191 0.514 0.409
Fe1 0.395 0.763 0.812
Fe2 0.402 0.272 0.830
Fe3 0.591 0.250 0.243
Fe4 0.596 0.781 0.247
O1 0.100 0.328 0.264
O2 0.102 0.697 0.263
O3 0.279 0.351 0.583
O4 0.280 0.681 0.586
O5 0.422 0.013 0.806
O6 0.501 0.344 0.046
O7 0.502 0.720 0.043
O8 0.623 0.016 0.330
O9 0.909 0.330 0.836
O10 0.912 0.683 0.839
```

Record 9
Ba2Y2MgFe4O10: theoretical powder X-ray diffraction pattern (Cu Kα, 1.54184 Å), based on a crystal structure in the Materials Project, relaxed with PBE+U.
Lines closer than 0.1° are merged.

Main lines, by angle (10 to 90 degrees two-theta):
d 3.042, 2θ 29.4, I = 39, (2 0 -2)
d 3.013, 2θ 29.6, I = 100, (0 1 2)
d 2.888, 2θ 31.0, I = 51, (2 0 2)
d 2.807, 2θ 31.9, I = 84, (2 1 0)
d 2.456, 2θ 36.6, I = 23, (2 0 -3)
d 2.419, 2θ 37.2, I = 23, (0 1 3)
d 2.015, 2θ 45.0, I = 42, (0 2 0)
d 1.955, 2θ 46.4, I = 27, (4 0 0)

Crystal structure
```
data_Ba2Y2MgFe4O10
_cell_length_a 7.832
_cell_length_b 4.030
_cell_length_c 9.088
_cell_angle_alpha 90.00
_cell_angle_beta 93.01
_cell_angle_gamma 90.00
_symmetry_space_group_name_H-M 'P 1 m 1'
_symmetry_Int_Tables_number 6
_symmetry_space_group_name_Hall 'P -2y'
loop_
_atom_site_label
_atom_site_fract_x
_atom_site_fract_y
_atom_site_fract_z
Ba1 0.000 0.000 0.000
Ba2 0.497 0.000 0.901
Y1 0.466 0.000 0.498
Y2 0.965 0.000 0.536
Mg1 0.445 0.500 0.170
Fe1 0.170 0.500 0.321
Fe2 0.217 0.500 0.717
Fe3 0.735 0.500 0.712
Fe4 0.744 0.500 0.310
O1 0.192 0.000 0.356
O2 0.222 0.000 0.680
O3 0.224 0.500 0.075
O4 0.456 0.500 0.380
O5 0.475 0.500 0.702
O6 0.655 0.500 0.073
O7 0.717 0.000 0.359
O8 0.723 0.000 0.677
O9 0.961 0.500 0.440
O10 0.977 0.500 0.783
```

Record 10
Ba2Y2MgFe4O10: theoretical powder X-ray diffraction pattern (Cu Kα, 1.54184 Å), based on a crystal structure in the Materials Project, relaxed with PBE+U.
Lines closer than 0.1° are merged.

Main lines, by angle (10 to 90 degrees two-theta):
d 3.956, 2θ 22.5, I = 54, (1 0 1)
d 2.785, 2θ 32.1, I = 83, (1 2 1)
d 2.774, 2θ 32.3, I = 82, (1 -2 0)
d 2.747, 2θ 32.6, I = 85, (1 0 -2)
d 2.728, 2θ 32.8, I = 85, (1 0 3)
d 2.708, 2θ 33.1, I = 100, (0 2 -2)
d 2.623, 2θ 34.2, I = 91, (0 2 3)
d 2.024, 2θ 44.8, I = 66, (2 0 1)

Crystal structure
```
data_Ba2Y2MgFe4O10
_cell_length_a 4.049
_cell_length_b 7.650
_cell_length_c 9.631
_cell_angle_alpha 80.30
_cell_angle_beta 78.22
_cell_angle_gamma 89.75
_symmetry_space_group_name_H-M 'P 1'
_symmetry_Int_Tables_number 1
_symmetry_space_group_name_Hall 'P 1'
loop_
_atom_site_label
_atom_site_fract_x
_atom_site_fract_y
_atom_site_fract_z
Ba1 0.000 0.000 0.000
Ba2 0.024 0.506 0.977
Y1 0.216 0.077 0.584
Y2 0.216 0.571 0.591
Mg1 0.385 0.177 0.241
Fe1 0.619 0.276 0.784
Fe2 0.619 0.799 0.783
Fe3 0.821 0.386 0.371
Fe4 0.823 0.883 0.368
O1 0.136 0.288 0.744
O2 0.153 0.799 0.711
O3 0.303 0.338 0.407
O4 0.315 0.930 0.385
O5 0.490 0.246 0.023
O6 0.509 0.768 0.993
O7 0.646 0.546 0.735
O8 0.673 0.067 0.672
O9 0.791 0.622 0.433
O10 0.872 0.163 0.268
```

Record 11
BaMgZnFe4O8: theoretical powder X-ray diffraction pattern (Cu Kα, 1.54184 Å), based on a crystal structure in the Materials Project, relaxed with PBE+U.
Lines closer than 0.1° are merged.

Main lines, by angle (10 to 90 degrees two-theta):
d 3.093, 2θ 28.9, I = 57, (1 1 -2)
d 3.046, 2θ 29.3, I = 100, (1 1 2)
d 2.688, 2θ 33.3, I = 45, (2 0 0)
d 2.629, 2θ 34.1, I = 75, (1 3 0)
d 2.510, 2θ 35.8, I = 18, (1 3 -1)
d 1.981, 2θ 45.8, I = 24, (0 4 2)
d 1.626, 2θ 56.6, I = 29, (1 3 -4)
d 1.540, 2θ 60.1, I = 22, (3 3 0)

Crystal structure
```
data_BaMgZnFe4O8
_cell_length_a 5.377
_cell_length_b 9.043
_cell_length_c 8.219
_cell_angle_alpha 90.00
_cell_angle_beta 90.97
_cell_angle_gamma 90.00
_symmetry_space_group_name_H-M 'C 1 2 1'
_symmetry_Int_Tables_number 5
_symmetry_space_group_name_Hall 'C 2y'
loop_
_atom_site_label
_atom_site_fract_x
_atom_site_fract_y
_atom_site_fract_z
Ba1 0.000 0.000 0.000
Mg1 0.000 0.683 0.500
Zn1 0.000 0.008 0.500
Fe1 0.016 0.347 0.254
Fe2 0.035 0.653 0.207
O1 0.000 0.365 0.000
O2 0.000 0.722 0.000
O3 0.150 0.834 0.663
O4 0.158 0.171 0.666
O5 0.159 0.512 0.656
```